[1]
Sm4Y3Cd: computed powder X-ray diffraction pattern (CuKα), based on DFT lattice parameters and positions (PBE).
Kinematic intensities with the Lorentz-polarization factor, no thermal factor.

Principal peaks in the range 10 to 90 degrees two-theta, low angle first:
h k l, 2θ (°), I/Imax
4 0 0, 15.28, 7
3 1 -1, 30.90, 100
2 0 2, 30.98, 33
5 1 1, 34.94, 49
6 0 -2, 37.61, 19
0 2 0, 50.25, 17
11 1 -1, 52.18, 13
1 1 -3, 52.37, 14
8 2 0, 60.11, 19
2 2 2, 60.24, 19

Atomic structure:
```
data_Sm4Y3Cd
_cell_length_a 23.202
_cell_length_b 3.629
_cell_length_c 5.993
_cell_angle_alpha 90.00
_cell_angle_beta 91.14
_cell_angle_gamma 90.00
_symmetry_space_group_name_H-M 'C 1 2/m 1'
_symmetry_Int_Tables_number 12
loop_
_symmetry_equiv_pos_as_xyz
'x,y,z'
'-x,-y,-z'
'-x,y,-z'
'x,-y,z'
'x+1/2,y+1/2,z'
'-x+1/2,-y+1/2,-z'
'-x+1/2,y+1/2,-z'
'x+1/2,-y+1/2,z'
loop_
_atom_site_label
_atom_site_fract_x
_atom_site_fract_y
_atom_site_fract_z
Sm1 0.117 0.000 0.392
Sm2 0.128 0.500 0.893
Y1 0.000 0.000 0.000
Y2 0.246 0.500 0.250
Cd1 0.000 0.500 0.500
```

[2]
Tb2YErO6: computed powder X-ray diffraction pattern (CuKα), based on DFT lattice parameters and positions (PBE).
Kinematic intensities with the Lorentz-polarization factor, no thermal factor.

Principal peaks in the range 10 to 90 degrees two-theta, low angle first:
h k l, 2θ (°), I/Imax
0 1 2, 21.15, 19
1 0 4, 29.45, 100
1 1 0, 30.72, 96
0 2 4, 43.07, 41
1 1 6, 47.60, 30
0 1 8, 51.42, 13
2 1 4, 53.83, 41
3 0 0, 54.62, 28
2 2 0, 63.99, 23
4 -3 4, 71.97, 15

Atomic structure:
```
data_Tb2YErO6
_cell_length_a 5.8211
_cell_length_b 5.8211
_cell_length_c 15.1920
_cell_angle_alpha 90.00
_cell_angle_beta 90.00
_cell_angle_gamma 120.00
_symmetry_space_group_name_H-M 'R 3'
_symmetry_Int_Tables_number 146
_symmetry_space_group_name_Hall 'R 3'
loop_
_atom_site_label
_atom_site_fract_x
_atom_site_fract_y
_atom_site_fract_z
Tb1 0.0000 0.0000 0.0000
Tb2 0.0000 0.0000 0.4993
Y1 0.0000 0.0000 0.2820
Er1 0.0000 0.0000 0.7834
O1 0.0038 0.7114 0.8893
O2 0.0074 0.2978 0.3900
```

[3]
Pm2Tm2Th3: computed powder X-ray diffraction pattern (CuKα), based on DFT lattice parameters and positions (PBE).
Kinematic intensities with the Lorentz-polarization factor, no thermal factor.

Principal peaks in the range 10 to 90 degrees two-theta, low angle first:
h k l, 2θ (°), I/Imax
0 6 1, 29.15, 39
1 7 0, 30.52, 100
0 8 1, 31.95, 62
0 14 0, 34.32, 33
1 1 1, 35.96, 68
1 15 1, 52.38, 39
1 7 2, 61.14, 29
0 22 1, 61.62, 14
2 8 1, 62.07, 19
2 14 0, 63.48, 23

Atomic structure:
```
data_Pm2Tm2Th3
_cell_length_a 3.537
_cell_length_b 36.576
_cell_length_c 3.543
_cell_angle_alpha 90.00
_cell_angle_beta 90.00
_cell_angle_gamma 90.00
_symmetry_space_group_name_H-M 'C m m m'
_symmetry_Int_Tables_number 65
_symmetry_space_group_name_Hall '-C 2 2'
loop_
_atom_site_label
_atom_site_fract_x
_atom_site_fract_y
_atom_site_fract_z
Pm1 0.000 0.208 0.000
Tm1 0.000 0.362 0.500
Th1 0.000 0.069 0.000
Th2 0.000 0.500 0.500
```

[4]
CaSm2Fe: computed powder X-ray diffraction pattern (CuKα), based on DFT lattice parameters and positions (PBE).
Kinematic intensities with the Lorentz-polarization factor, no thermal factor.

Principal peaks in the range 10 to 90 degrees two-theta, low angle first:
h k l, 2θ (°), I/Imax
1 0 0, 25.28, 44
1 0 1, 27.04, 27
0 0 3, 28.56, 33
1 0 2, 31.77, 100
1 1 0, 36.06, 73
1 0 3, 38.51, 75
1 1 3, 46.60, 50
2 0 0, 51.92, 25
2 1 2, 62.16, 28
2 1 3, 66.46, 30

Atomic structure:
```
data_CaSm2Fe
_cell_length_a 3.523
_cell_length_b 3.523
_cell_length_c 9.377
_cell_angle_alpha 90.00
_cell_angle_beta 90.00
_cell_angle_gamma 90.00
_symmetry_space_group_name_H-M 'P 4/m m m'
_symmetry_Int_Tables_number 123
_symmetry_space_group_name_Hall '-P 4 2'
loop_
_atom_site_label
_atom_site_fract_x
_atom_site_fract_y
_atom_site_fract_z
Ca1 0.000 0.000 0.000
Sm1 0.500 0.500 0.325
Fe1 0.000 0.000 0.500
```

[5]
TmCu12: computed powder X-ray diffraction pattern (CuKα), based on DFT lattice parameters and positions (PBE).
Kinematic intensities with the Lorentz-polarization factor, no thermal factor.

Principal peaks in the range 10 to 90 degrees two-theta, low angle first:
h k l, 2θ (°), I/Imax
2 1 1, 30.02, 20
3 0 1, 36.97, 31
0 0 2, 37.08, 11
4 0 0, 42.93, 100
2 0 2, 43.04, 45
4 2 0, 48.29, 14
2 2 2, 48.40, 19
4 4 0, 62.36, 13
3 2 3, 70.88, 13
6 0 2, 78.69, 26

Atomic structure:
```
data_TmCu12
_cell_length_a 8.430
_cell_length_b 8.430
_cell_length_c 4.849
_cell_angle_alpha 90.00
_cell_angle_beta 90.00
_cell_angle_gamma 90.00
_symmetry_space_group_name_H-M 'I 4/m m m'
_symmetry_Int_Tables_number 139
_symmetry_space_group_name_Hall '-I 4 2'
loop_
_atom_site_label
_atom_site_fract_x
_atom_site_fract_y
_atom_site_fract_z
Tm1 0.000 0.000 0.000
Cu1 0.000 0.220 0.500
Cu2 0.000 0.354 0.000
Cu3 0.250 0.250 0.250
```

[6]
Dy2Ti2O7: computed powder X-ray diffraction pattern (CuKα), based on DFT lattice parameters and positions (PBE).
Kinematic intensities with the Lorentz-polarization factor, no thermal factor.

Principal peaks in the range 10 to 90 degrees two-theta, low angle first:
h k l, 2θ (°), I/Imax
0 1 2, 21.45, 54
0 0 4, 27.24, 32
2 0 2, 29.24, 40
2 1 1, 30.83, 100
0 1 4, 32.05, 29
0 2 0, 33.49, 33
2 1 -3, 33.79, 47
4 0 -1, 48.43, 36
1 1 -7, 51.54, 21
2 3 -3, 60.06, 21

Atomic structure:
```
data_Dy2Ti2O7
_cell_length_a 7.515
_cell_length_b 5.352
_cell_length_c 13.234
_cell_angle_alpha 90.00
_cell_angle_beta 98.34
_cell_angle_gamma 90.00
_symmetry_space_group_name_H-M 'P 1 21 1'
_symmetry_Int_Tables_number 4
loop_
_symmetry_equiv_pos_as_xyz
'x,y,z'
'-x,y+1/2,-z'
loop_
_atom_site_label
_atom_site_fract_x
_atom_site_fract_y
_atom_site_fract_z
Dy1 0.142 0.000 0.062
Dy2 0.235 0.409 0.427
Dy3 0.285 0.884 0.634
Dy4 0.354 0.420 0.886
Ti1 0.031 0.407 0.624
Ti2 0.070 0.925 0.821
Ti3 0.410 0.435 0.172
Ti4 0.469 0.906 0.371
O1 0.008 0.070 0.679
O2 0.060 0.674 0.526
O3 0.074 0.203 0.908
O4 0.129 0.591 0.734
O5 0.140 0.708 0.931
O6 0.172 0.313 0.183
O7 0.221 0.987 0.383
O8 0.273 0.288 0.592
O9 0.327 0.019 0.805
O10 0.365 0.736 0.117
O11 0.413 0.230 0.053
O12 0.421 0.568 0.323
O13 0.455 0.671 0.529
O14 0.486 0.592 0.737
```